# FeHg2TeO6
Computed powder diffraction line list, Cu Kα X-rays. Input: the GGA+U geometry in Alexandria.

Peak list (6 most intense, 2θ = 15–90°, by angle)
31.17 deg, intensity 54, (1 -1 1)
31.44 deg, intensity 52, (0 1 1)
31.58 deg, intensity 100, (1 0 -2)
31.86 deg, intensity 47, (1 -2 0)
32.11 deg, intensity 45, (-2 1 1)
44.87 deg, intensity 25, (0 2 -2)

Crystal structure
Cell: 5.5756 5.6193 5.6745 Å, 91.37 118.64 119.23°
Space group P-1 (No. 2)
Symmetry-distinct sites (fractional):
Fe1 0.0000 0.0000 0.0000 [1 per cell]
Hg1 0.4949 0.2466 0.7498 [2 per cell]
Te1 0.0000 0.5000 0.5000 [1 per cell]
O1 0.0947 0.8346 0.7424 [2 per cell]
O2 0.1047 0.7359 0.2685 [2 per cell]
O3 0.4693 0.6355 0.7508 [2 per cell]